The following is a theoretical X-ray diffraction stick pattern of B2Cl13. It was derived from a DFT-relaxed cell (PBE, Alexandria), using a wavelength of 1.5418 Å.
Peak positions follow from Bragg's law for the DFT cell and can differ from measured ones.

Peak list (12 most intense, 2θ = 15–90°, in order of rising 2θ)
(1 0 1), 17.33 deg, I = 12; (0 0 2), 17.91 deg, I = 13; (0 1 2), 18.64 deg, I = 16; (0 2 1), 19.44 deg, I = 11; (1 2 0), 21.53 deg, I = 24; (0 2 -1), 22.53 deg, I = 100; (1 2 2), 25.11 deg, I = 12; (1 1 3), 29.19 deg, I = 23; (1 0 3), 30.43 deg, I = 13; (2 0 0), 30.91 deg, I = 16; (1 3 2), 31.01 deg, I = 22; (-1 2 2), 31.11 deg, I = 11

Crystal structure
```
data_B2Cl13
_chemical_formula_sum 'B2 Cl13'
_cell_length_a 5.9796
_cell_length_b 9.8052
_cell_length_c 10.1340
_cell_angle_alpha 78.13
_cell_angle_beta 84.22
_cell_angle_gamma 75.83
_symmetry_space_group_name_H-M 'P -1'
_symmetry_Int_Tables_number 2
_symmetry_space_group_name_Hall '-P 1'
loop_
_atom_site_label
_atom_site_type_symbol
_atom_site_fract_x
_atom_site_fract_y
_atom_site_fract_z
_atom_site_occupancy
B1 B 0.1233 0.2266 0.4531 1
Cl1 Cl 0.0000 0.5000 0.0000 1
Cl2 Cl 0.1729 0.7390 0.5646 1
Cl3 Cl 0.2264 0.2736 0.5891 1
Cl4 Cl 0.2650 0.6195 0.1905 1
Cl5 Cl 0.3167 0.1449 0.3367 1
Cl6 Cl 0.3462 0.0174 0.9611 1
Cl7 Cl 0.4045 0.4309 0.8918 1
```

***

The following is a theoretical X-ray diffraction stick pattern of BCl. It was derived from a DFT-relaxed cell (PBE, Alexandria), using a wavelength of 1.5418 Å.
Peak positions follow from Bragg's law for the DFT cell and can differ from measured ones.

Peak list (12 most intense, 2θ = 15–90°, in order of rising 2θ)
(1 0 1), 18.05 deg, I = 5; (2 0 1), 25.31 deg, I = 100; (2 2 0), 28.91 deg, I = 26; (0 0 2), 30.07 deg, I = 12; (4 0 0), 41.35 deg, I = 11; (2 2 2), 42.20 deg, I = 19; (4 2 1), 49.10 deg, I = 19; (2 0 3), 50.59 deg, I = 8; (4 0 2), 51.97 deg, I = 9; (6 0 1), 66.08 deg, I = 5; (4 2 3), 67.32 deg, I = 9; (6 2 2), 75.99 deg, I = 5

Crystal structure
```
data_BCl
_chemical_formula_sum 'B8 Cl8'
_cell_length_a 8.7343
_cell_length_b 8.7343
_cell_length_c 5.9433
_cell_angle_alpha 90.00
_cell_angle_beta 90.00
_cell_angle_gamma 90.00
_symmetry_space_group_name_H-M 'P 42/n m c'
_symmetry_Int_Tables_number 137
loop_
_symmetry_equiv_pos_as_xyz
'x,y,z'
'-x,-y,-z'
'-y+1/2,x,z+1/2'
'y+1/2,-x,-z+1/2'
'-x+1/2,-y+1/2,z'
'x+1/2,y+1/2,-z'
'y,-x+1/2,z+1/2'
'-y,x+1/2,-z+1/2'
'x+1/2,-y,-z'
'-x+1/2,y,z'
'-y,-x,-z+1/2'
'y,x,z+1/2'
'-x,y+1/2,-z'
'x,-y+1/2,z'
'y+1/2,x+1/2,-z+1/2'
'-y+1/2,-x+1/2,z+1/2'
loop_
_atom_site_label
_atom_site_type_symbol
_atom_site_fract_x
_atom_site_fract_y
_atom_site_fract_z
_atom_site_occupancy
B1 B 0.1534 0.7500 0.1493 1
Cl1 Cl 0.0085 0.2500 0.0170 1
```